Diffraction record for Pa2Co5Si4. The X-ray powder pattern is calculated, not measured: it uses DFT lattice parameters and positions (PBE) and Cu Kα, 1.54184 Å.
Kinematic intensities with the Lorentz-polarization factor, no thermal factor.

Most intense lines, 10 to 90 degrees two-theta, most intense first:
2θ (°)	intensity
40.02	100
28.04	99
33.58	83
39.25	80
43.57	51
20.48	43

Structural model:
```
11
Lattice="0.000 4.508 6.624 2.667 0.000 6.624 2.667 4.508 0.000" Properties=species:S:1:pos:R:3 pbc="T T T"
Pa 2.667 4.508 1.831
Pa 2.667 4.508 11.418
Co 1.333 2.254 0.000
Co 1.333 2.254 3.312
Co 1.333 2.254 6.624
Co 2.667 4.508 6.624
Co 4.000 6.762 9.936
Si 2.667 3.172 4.859
Si 2.667 3.172 8.389
Si 2.667 5.845 4.859
Si 2.667 5.845 8.389
```